For Cu2SnAuS4, a cell relaxed with PBE gives the calculated powder diffraction line list in this record (Cu Kα).
Peak positions follow from Bragg's law for the DFT cell and can differ from measured ones.

Structural model:
```
Cu2SnAuS4
1.0
5.5298 0.0000 0.0000
0.0000 5.5298 0.0000
0.0000 0.0000 11.0279
Cu Sn Au S
4 2 2 8
direct
0.0000 0.5000 0.2500 Cu
0.0000 0.5000 0.7500 Cu
0.5000 0.0000 0.2500 Cu
0.5000 0.0000 0.7500 Cu
0.0000 0.0000 0.0000 Sn
0.5000 0.5000 0.5000 Sn
0.0000 0.0000 0.5000 Au
0.5000 0.5000 0.0000 Au
0.2488 0.2488 0.1389 S
0.2488 0.7512 0.8611 S
0.2512 0.2512 0.6389 S
0.2512 0.7488 0.3611 S
0.7488 0.2512 0.3611 S
0.7488 0.7488 0.6389 S
0.7512 0.2488 0.8611 S
0.7512 0.7512 0.1389 S
```

Main lines, sorted by position (15 to 90 degrees two-theta):
- (1 1 2), 27.97°, 3.190 Å, rel. 100
- (0 0 4), 32.41°, 2.762 Å, rel. 24
- (2 2 0), 46.49°, 1.953 Å, rel. 55
- (3 1 2), 55.10°, 1.667 Å, rel. 30
- (1 1 6), 55.22°, 1.663 Å, rel. 15
- (4 2 4), 86.20°, 1.128 Å, rel. 13